Record 1
This entry pairs a crystal structure of BaNbSnO6 with its simulated PXRD pattern. Radiation: Cu Kα (weighted mean of Kα1 and Kα2). Structure: a crystal structure in Alexandria, relaxed with PBE.
Lines closer than 0.1° are merged.

Atomic structure:
Lattice parameters (Å, degrees): 5.576 5.576 11.167 90.00 90.00 120.00
Fractional positions:
Ba 0.000 0.000 0.000
Ba 0.000 0.000 0.500
Nb 0.333 0.667 0.250
Nb 0.667 0.333 0.750
Sn 0.333 0.667 0.750
Sn 0.667 0.333 0.250
O 0.009 0.399 0.149
O 0.009 0.609 0.351
O 0.391 0.399 0.351
O 0.391 0.991 0.149
O 0.399 0.009 0.649
O 0.399 0.391 0.851
O 0.601 0.609 0.149
O 0.601 0.991 0.351
O 0.609 0.009 0.851
O 0.609 0.601 0.649
O 0.991 0.391 0.649
O 0.991 0.601 0.851

Principal peaks in the range 5° ≤ 2θ ≤ 70°, in order of falling intensity:
two_theta, I (rel.)
24.37, 100
32.09, 47
46.01, 44
52.75, 34
40.71, 22
57.23, 12
67.11, 12
15.87, 11
63.06, 8
36.00, 6
67.15, 6
59.76, 3

=====

Record 2
This entry pairs a crystal structure of La2TbErHg2 with its simulated PXRD pattern. Radiation: Cu Kα (weighted mean of Kα1 and Kα2). Structure: a crystal structure in Alexandria, relaxed with PBE.
Lines closer than 0.1° are merged.

Atomic structure:
Lattice parameters (Å, degrees): 5.167 9.641 7.197 90.00 90.00 90.00
Fractional positions:
La 0.000 0.056 0.000
La 0.000 0.944 0.500
La 0.500 0.172 0.310
La 0.500 0.828 0.810
Tb 0.500 0.446 0.969
Tb 0.500 0.554 0.469
Er 0.000 0.329 0.654
Er 0.000 0.671 0.154
Hg 0.000 0.366 0.225
Hg 0.000 0.634 0.725
Hg 0.500 0.165 0.750
Hg 0.500 0.835 0.250

Principal peaks in the range 5° ≤ 2θ ≤ 70°, in order of falling intensity:
two_theta, I (rel.)
31.69, 100
32.82, 89
34.73, 57
28.19, 31
31.01, 29
30.27, 23
41.54, 23
47.24, 21
60.35, 16
61.04, 15
57.02, 14
30.46, 14

=====

Record 3
This entry pairs a crystal structure of Ga6NiRh3 with its simulated PXRD pattern. Radiation: Cu Kα (weighted mean of Kα1 and Kα2). Structure: a crystal structure in Alexandria, relaxed with PBE.
Lines closer than 0.1° are merged.

Atomic structure:
Lattice parameters (Å, degrees): 6.257 6.513 9.966 90.00 128.51 90.00
Fractional positions:
Ga 0.021 0.043 0.244
Ga 0.021 0.457 0.744
Ga 0.208 0.663 0.066
Ga 0.208 0.837 0.566
Ga 0.412 0.148 0.060
Ga 0.412 0.352 0.560
Ga 0.588 0.648 0.440
Ga 0.588 0.852 0.940
Ga 0.792 0.163 0.434
Ga 0.792 0.337 0.934
Ga 0.979 0.543 0.256
Ga 0.979 0.957 0.756
Ni 0.000 0.000 0.000
Ni 0.000 0.500 0.500
Rh 0.294 0.169 0.740
Rh 0.294 0.331 0.240
Rh 0.500 0.000 0.500
Rh 0.500 0.500 0.000
Rh 0.706 0.669 0.760
Rh 0.706 0.831 0.260

Principal peaks in the range 5° ≤ 2θ ≤ 70°, in order of falling intensity:
two_theta, I (rel.)
44.15, 100
46.60, 71
33.09, 60
22.77, 58
46.40, 50
38.86, 43
39.95, 42
40.12, 42
44.60, 38
37.38, 37
33.87, 36
39.55, 35

=====

Record 4
This entry pairs a crystal structure of SrH2PdO4 with its simulated PXRD pattern. Radiation: Cu Kα (weighted mean of Kα1 and Kα2). Structure: a crystal structure in Alexandria, relaxed with PBE.
Lines closer than 0.1° are merged.

Atomic structure:
Lattice parameters (Å, degrees): 5.070 5.070 5.070 122.50 110.01 96.92
Fractional positions:
Sr 0.000 0.000 0.000
H 0.323 0.823 0.500
H 0.677 0.177 0.500
Pd 0.500 0.500 0.000
O 0.213 0.027 0.618
O 0.409 0.595 0.382
O 0.591 0.973 0.186
O 0.787 0.405 0.814

Principal peaks in the range 5° ≤ 2θ ≤ 70°, in order of falling intensity:
two_theta, I (rel.)
23.81, 100
35.93, 91
30.75, 40
45.97, 28
56.33, 24
26.51, 24
41.04, 23
58.09, 22
60.38, 18
50.67, 15
48.73, 14
58.99, 12

=====

- Number 4 is which compound?
  SrH2PdO4

=====

Please write out number 2 again, unchanged.
This entry pairs a crystal structure of La2TbErHg2 with its simulated PXRD pattern. Radiation: Cu Kα (weighted mean of Kα1 and Kα2). Structure: a crystal structure in Alexandria, relaxed with PBE.
Lines closer than 0.1° are merged.

Atomic structure:
Lattice parameters (Å, degrees): 5.167 9.641 7.197 90.00 90.00 90.00
Fractional positions:
La 0.000 0.056 0.000
La 0.000 0.944 0.500
La 0.500 0.172 0.310
La 0.500 0.828 0.810
Tb 0.500 0.446 0.969
Tb 0.500 0.554 0.469
Er 0.000 0.329 0.654
Er 0.000 0.671 0.154
Hg 0.000 0.366 0.225
Hg 0.000 0.634 0.725
Hg 0.500 0.165 0.750
Hg 0.500 0.835 0.250

Principal peaks in the range 5° ≤ 2θ ≤ 70°, in order of falling intensity:
two_theta, I (rel.)
31.69, 100
32.82, 89
34.73, 57
28.19, 31
31.01, 29
30.27, 23
41.54, 23
47.24, 21
60.35, 16
61.04, 15
57.02, 14
30.46, 14